This entry pairs a crystal structure of Ba2FeN2 with its theoretical powder diffraction line list. Radiation: Cu Ka. Structure: a DFT-relaxed cell (PBE, the Materials Project).
No peak broadening, texture or thermal motion is included.

Top 10 peaks for 10° ≤ 2θ ≤ 90°, sorted by position:
- 2θ = 22.6°, rel. 24
- 2θ = 27.8°, rel. 21
- 2θ = 30.0°, rel. 100
- 2θ = 30.5°, rel. 86
- 2θ = 41.4°, rel. 12
- 2θ = 41.8°, rel. 27
- 2θ = 43.7°, rel. 31
- 2θ = 52.6°, rel. 14
- 2θ = 54.0°, rel. 39
- 2θ = 72.1°, rel. 13

Atomic structure:
```
Ba2FeN2
1.0
-2.0703 2.0703 6.4118
2.0703 -2.0703 6.4118
2.0703 2.0703 -6.4118
Ba Fe N
2 1 2
Direct
0.1378 0.1378 0.0000
0.8622 0.8622 0.0000
0.5000 0.5000 0.0000
0.3673 0.3673 0.0000
0.6327 0.6327 0.0000
```